Structure and computed powder diffraction line list of Sr2TaAlO6 (the PBE geometry in the Materials Project; Cu Kα (weighted mean of Kα1 and Kα2)).
Lines closer than 0.1° are merged.

Peak list (10 most intense, 2θ = 10–90°, most intense first)
(1 1 0), 31.97 deg, I 100; (1 0 1), 25.13 deg, I 38; (2 1 2), 56.93 deg, I 26; (2 0 0), 45.76 deg, I 24; (0 0 1), 11.22 deg, I 20; (1 1 3), 47.40 deg, I 13; (3 1 0), 75.89 deg, I 12; (2 0 4), 66.92 deg, I 11; (2 1 1), 52.92 deg, I 10; (1 1 4), 57.10 deg, I 10

Crystal structure
abc: 3.966 3.966 7.889
angles: 90.00 90.00 90.00
Element x y z (fractional)
1 Sr 0.000 0.000 0.216
2 Sr 0.000 0.000 0.784
3 Ta 0.500 0.500 0.500
4 Al 0.500 0.500 0.000
5 O 0.000 0.500 0.000
6 O 0.000 0.500 0.500
7 O 0.500 0.000 0.000
8 O 0.500 0.000 0.500
9 O 0.500 0.500 0.249
10 O 0.500 0.500 0.751